Diffraction record for Sm12Tm2Sc. The XRD peak list is calculated, not measured: it uses DFT lattice parameters and positions (GGA-PBE) and λ = 1.5418 Å (Cu Kα).
Intensities are scaled so that the largest is 100.

Peak list (10 most intense, 10 to 80 degrees two-theta, in order of falling intensity)
2θ 28.45, 3.137 Å, I = 100, (2 0 2); 2θ 32.71, 2.737 Å, I = 84, (2 1 3); 2θ 31.08, 2.877 Å, I = 73, (2 0 4); 2θ 31.81, 2.813 Å, I = 64, (1 1 7); 2θ 55.78, 1.648 Å, I = 53, (3 1 9); 2θ 39.31, 2.292 Å, I = 44, (2 2 0); 2θ 37.84, 2.378 Å, I = 39, (2 1 6); 2θ 29.00, 3.079 Å, I = 38, (1 1 6); 2θ 32.31, 2.771 Å, I = 37, (0 0 9); 2θ 29.58, 3.020 Å, I = 31, (2 0 3)

```
data_Sm12Tm2Sc
_chemical_formula_sum 'Sm24 Tm4 Sc2'
_space_group_name_H-M_alt 'P 4/n b m'
_space_group_IT_number 125
_cell_length_a 6.4828
_cell_length_b 6.4828
_cell_length_c 24.9374
_cell_angle_alpha 90.00
_cell_angle_beta 90.00
_cell_angle_gamma 90.00
loop_
_space_group_symop_operation_xyz
'x,y,z'
'-x,-y,-z'
'-y+1/2,x,z'
'y+1/2,-x,-z'
'-x+1/2,-y+1/2,z'
'x+1/2,y+1/2,-z'
'y,-x+1/2,z'
'-y,x+1/2,-z'
'x,-y+1/2,-z'
'-x,y+1/2,z'
'-y+1/2,-x+1/2,-z'
'y+1/2,x+1/2,z'
'-x+1/2,y,-z'
'x+1/2,-y,z'
'y,x,-z'
'-y,-x,z'
loop_
_atom_site_label
_atom_site_type_symbol
_atom_site_fract_x
_atom_site_fract_y
_atom_site_fract_z
Sm1 Sm 0.0646 0.5646 0.1089
Sm2 Sm 0.0818 0.5818 0.4369
Sm3 Sm 0.2500 0.2500 0.2113
Sm4 Sm 0.2500 0.2500 0.3350
Tm1 Tm 0.2500 0.7500 0.2700
Sc1 Sc 0.2500 0.7500 0.0000
```


Diffraction record for Sm3Tm4Sc4. The XRD peak list is calculated, not measured: it uses DFT lattice parameters and positions (GGA-PBE) and λ = 1.5418 Å (Cu Kα).
Intensities are scaled so that the largest is 100.

Peak list (10 most intense, 10 to 80 degrees two-theta, in order of falling intensity)
2θ 33.25, 2.695 Å, I = 100, (2 1 3); 2θ 32.75, 2.734 Å, I = 37, (0 2 0); 2θ 25.14, 3.542 Å, I = 29, (2 1 1); 2θ 32.08, 2.790 Å, I = 28, (3 1 1); 2θ 58.78, 1.571 Å, I = 22, (2 3 3); 2θ 31.73, 2.820 Å, I = 16, (1 0 4); 2θ 29.42, 3.036 Å, I = 15, (1 1 3); 2θ 35.45, 2.532 Å, I = 15, (4 0 0); 2θ 49.02, 1.858 Å, I = 15, (4 2 0); 2θ 17.89, 4.957 Å, I = 12, (0 1 1)

```
data_Sm3Tm4Sc4
_chemical_formula_sum 'Sm6 Tm8 Sc8'
_space_group_name_H-M_alt 'A m m 2'
_space_group_IT_number 38
_cell_length_a 10.1275
_cell_length_b 5.4684
_cell_length_c 11.7428
_cell_angle_alpha 90.00
_cell_angle_beta 90.00
_cell_angle_gamma 90.00
loop_
_space_group_symop_operation_xyz
'x,y,z'
'-x,-y,z'
'-x,y,z'
'x,-y,z'
'x,y+1/2,z+1/2'
'-x,-y+1/2,z+1/2'
'-x,y+1/2,z+1/2'
'x,-y+1/2,z+1/2'
loop_
_atom_site_label
_atom_site_type_symbol
_atom_site_fract_x
_atom_site_fract_y
_atom_site_fract_z
Sm1 Sm 0.0000 0.0000 0.0000
Sm2 Sm 0.3037 0.0000 0.1417
Tm1 Tm 0.0000 0.0000 0.2997
Tm2 Tm 0.2829 0.0000 0.8388
Tm3 Tm 0.5000 0.0000 0.3720
Sc1 Sc 0.0000 0.0000 0.6909
Sc2 Sc 0.2141 0.0000 0.5027
Sc3 Sc 0.5000 0.0000 0.6351
```


Diffraction record for Sm3Tm8Sc3. The XRD peak list is calculated, not measured: it uses DFT lattice parameters and positions (GGA-PBE) and λ = 1.5418 Å (Cu Kα).
Intensities are scaled so that the largest is 100.

Peak list (10 most intense, 10 to 80 degrees two-theta, in order of falling intensity)
2θ 36.44, 2.465 Å, I = 100, (1 2 5); 2θ 31.03, 2.882 Å, I = 93, (1 0 5); 2θ 29.59, 3.019 Å, I = 83, (1 2 3); 2θ 18.64, 4.760 Å, I = 83, (0 2 0); 2θ 33.42, 2.681 Å, I = 81, (2 0 0); 2θ 34.48, 2.601 Å, I = 33, (1 3 2); 2θ 63.26, 1.470 Å, I = 32, (1 6 3); 2θ 44.58, 2.032 Å, I = 32, (1 4 3); 2θ 18.99, 4.672 Å, I = 31, (1 1 0); 2θ 32.79, 2.731 Å, I = 28, (1 3 0)

```
data_Sm3Tm8Sc3
_chemical_formula_sum 'Sm6 Tm16 Sc6'
_space_group_name_H-M_alt 'I m m m'
_space_group_IT_number 71
_space_group_name_Hall '-I 2 2'
_cell_length_a 5.3625
_cell_length_b 9.5201
_cell_length_c 17.0885
_cell_angle_alpha 90.00
_cell_angle_beta 90.00
_cell_angle_gamma 90.00
loop_
_atom_site_label
_atom_site_type_symbol
_atom_site_fract_x
_atom_site_fract_y
_atom_site_fract_z
Sm1 Sm 0.0000 0.0000 0.0000
Sm2 Sm 0.0000 0.2402 0.5000
Tm1 Tm 0.0000 0.1582 0.2982
Tm2 Tm 0.0000 0.2439 0.1239
Sc1 Sc 0.0000 0.5000 0.0000
Sc2 Sc 0.0000 0.5000 0.3299
```


Diffraction record for Sm4TmSc5. The XRD peak list is calculated, not measured: it uses DFT lattice parameters and positions (GGA-PBE) and λ = 1.5418 Å (Cu Kα).
Intensities are scaled so that the largest is 100.

Peak list (10 most intense, 10 to 80 degrees two-theta, in order of falling intensity)
2θ 30.56, 2.926 Å, I = 100, (3 0 1); 2θ 25.02, 3.559 Å, I = 50, (2 1 1); 2θ 37.13, 2.421 Å, I = 44, (3 3 0); 2θ 34.16, 2.625 Å, I = 25, (1 1 2); 2θ 27.46, 3.249 Å, I = 22, (3 1 0); 2θ 40.55, 2.225 Å, I = 20, (2 2 2); 2θ 62.89, 1.478 Å, I = 19, (6 3 1); 2θ 51.34, 1.780 Å, I = 17, (4 2 2); 2θ 56.14, 1.638 Å, I = 17, (5 1 2); 2θ 55.87, 1.646 Å, I = 16, (3 0 3)

```
data_Sm4TmSc5
_chemical_formula_sum 'Sm8 Tm2 Sc10'
_space_group_name_H-M_alt 'I 4 m m'
_space_group_IT_number 107
_space_group_name_Hall 'I 4 -2'
_cell_length_a 10.2728
_cell_length_b 10.2728
_cell_length_c 5.6293
_cell_angle_alpha 90.00
_cell_angle_beta 90.00
_cell_angle_gamma 90.00
loop_
_atom_site_label
_atom_site_type_symbol
_atom_site_fract_x
_atom_site_fract_y
_atom_site_fract_z
Sm1 Sm 0.0000 0.3201 0.0000
Tm1 Tm 0.0000 0.0000 0.7458
Sc1 Sc 0.0000 0.0000 0.2311
Sc2 Sc 0.1892 0.1892 0.4762
```


Diffraction record for Sm7TmSc2. The XRD peak list is calculated, not measured: it uses DFT lattice parameters and positions (GGA-PBE) and λ = 1.5418 Å (Cu Kα).
Intensities are scaled so that the largest is 100.

Peak list (10 most intense, 10 to 80 degrees two-theta, in order of falling intensity)
2θ 30.77, 2.906 Å, I = 100, (2 4 0); 2θ 28.31, 3.152 Å, I = 86, (0 4 1); 2θ 34.69, 2.586 Å, I = 79, (3 1 1); 2θ 45.16, 2.008 Å, I = 73, (2 4 2); 2θ 34.92, 2.569 Å, I = 70, (1 5 1); 2θ 32.23, 2.778 Å, I = 69, (0 0 2); 2θ 25.60, 3.480 Å, I = 57, (2 0 1); 2θ 25.72, 3.464 Å, I = 40, (1 3 1); 2θ 19.72, 4.502 Å, I = 33, (0 2 1); 2θ 15.95, 5.556 Å, I = 32, (0 0 1)

```
data_Sm7TmSc2
_chemical_formula_sum 'Sm14 Tm2 Sc4'
_space_group_name_H-M_alt 'C m m m'
_space_group_IT_number 65
_space_group_name_Hall '-C 2 2'
_cell_length_a 8.9289
_cell_length_b 15.3113
_cell_length_c 5.5557
_cell_angle_alpha 90.00
_cell_angle_beta 90.00
_cell_angle_gamma 90.00
loop_
_atom_site_label
_atom_site_type_symbol
_atom_site_fract_x
_atom_site_fract_y
_atom_site_fract_z
Sm1 Sm 0.0000 0.0000 0.0000
Sm2 Sm 0.0000 0.2555 0.5000
Sm3 Sm 0.1825 0.3800 0.0000
Tm1 Tm 0.0000 0.5000 0.5000
Sc1 Sc 0.0000 0.2044 0.0000
```


Diffraction record for SmTm2Sc. The XRD peak list is calculated, not measured: it uses DFT lattice parameters and positions (GGA-PBE) and λ = 1.5418 Å (Cu Kα).
Intensities are scaled so that the largest is 100.

Peak list (10 most intense, 10 to 80 degrees two-theta, in order of falling intensity)
2θ 36.68, 2.450 Å, I = 100, (2 2 1); 2θ 31.58, 2.833 Å, I = 100, (4 0 0); 2θ 31.68, 2.824 Å, I = 99, (2 2 -1); 2θ 52.86, 1.732 Å, I = 47, (6 2 -1); 2θ 62.96, 1.476 Å, I = 41, (8 0 -2); 2θ 62.80, 1.480 Å, I = 27, (6 2 1); 2θ 15.63, 5.670 Å, I = 18, (2 0 0); 2θ 63.00, 1.476 Å, I = 14, (0 4 2); 2θ 65.94, 1.417 Å, I = 12, (8 0 0); 2θ 66.18, 1.412 Å, I = 12, (4 4 -2)

```
data_SmTm2Sc
_chemical_formula_sum 'Sm4 Tm8 Sc4'
_space_group_name_H-M_alt 'C 1 2/c 1'
_space_group_IT_number 15
_cell_length_a 12.0139
_cell_length_b 6.9150
_cell_length_c 5.9995
_cell_angle_alpha 90.00
_cell_angle_beta 109.27
_cell_angle_gamma 90.00
loop_
_space_group_symop_operation_xyz
'x,y,z'
'-x,-y,-z'
'-x,y,-z+1/2'
'x,-y,z+1/2'
'x+1/2,y+1/2,z'
'-x+1/2,-y+1/2,-z'
'-x+1/2,y+1/2,-z+1/2'
'x+1/2,-y+1/2,z+1/2'
loop_
_atom_site_label
_atom_site_type_symbol
_atom_site_fract_x
_atom_site_fract_y
_atom_site_fract_z
Sm1 Sm 0.0000 0.1272 0.2500
Tm1 Tm 0.2484 0.3753 0.2447
Sc1 Sc 0.0000 0.3774 0.7500
```


Diffraction record for Sm2Tm4Sc3. The XRD peak list is calculated, not measured: it uses DFT lattice parameters and positions (GGA-PBE) and λ = 1.5418 Å (Cu Kα).
Intensities are scaled so that the largest is 100.

Peak list (10 most intense, 10 to 80 degrees two-theta, in order of falling intensity)
2θ 34.69, 2.586 Å, I = 100, (0 1 5); 2θ 29.65, 3.013 Å, I = 46, (1 0 0); 2θ 32.95, 2.718 Å, I = 43, (0 1 4); 2θ 31.99, 2.798 Å, I = 33, (0 0 9); 2θ 52.60, 1.740 Å, I = 32, (1 1 0); 2θ 29.86, 2.992 Å, I = 31, (0 1 1); 2θ 59.89, 1.544 Å, I = 28, (0 1 14); 2θ 62.90, 1.477 Å, I = 28, (1 1 9); 2θ 10.54, 8.394 Å, I = 27, (0 0 3); 2θ 21.17, 4.197 Å, I = 24, (0 0 6)

```
data_Sm2Tm4Sc3
_chemical_formula_sum 'Sm2 Tm4 Sc3'
_space_group_name_H-M_alt 'P 3 m 1'
_space_group_IT_number 156
_cell_length_a 3.4796
_cell_length_b 3.4796
_cell_length_c 25.1819
_cell_angle_alpha 90.00
_cell_angle_beta 90.00
_cell_angle_gamma 120.00
loop_
_space_group_symop_operation_xyz
'x,y,z'
'-y,x-y,z'
'-x+y,-x,z'
'-y,-x,z'
'-x+y,y,z'
'x,x-y,z'
loop_
_atom_site_label
_atom_site_type_symbol
_atom_site_fract_x
_atom_site_fract_y
_atom_site_fract_z
Sm1 Sm 0.0000 0.0000 0.0000
Sm2 Sm 0.0000 0.0000 0.2159
Tm1 Tm 0.0000 0.0000 0.3545
Tm2 Tm 0.0000 0.0000 0.5623
Tm3 Tm 0.3333 0.6667 0.6744
Tm4 Tm 0.3333 0.6667 0.8834
Sc1 Sc 0.0000 0.0000 0.7791
Sc2 Sc 0.3333 0.6667 0.1097
Sc3 Sc 0.3333 0.6667 0.4576
```


Diffraction record for Sm3Tm4Sc5. The XRD peak list is calculated, not measured: it uses DFT lattice parameters and positions (GGA-PBE) and λ = 1.5418 Å (Cu Kα).
Intensities are scaled so that the largest is 100.

Peak list (10 most intense, 10 to 80 degrees two-theta, in order of falling intensity)
2θ 31.53, 2.837 Å, I = 100, (0 2 0); 2θ 33.85, 2.648 Å, I = 65, (5 1 -1); 2θ 34.41, 2.606 Å, I = 63, (1 1 -3); 2θ 33.70, 2.659 Å, I = 59, (5 1 -2); 2θ 33.05, 2.710 Å, I = 57, (3 1 -3); 2θ 31.35, 2.854 Å, I = 53, (2 0 2); 2θ 30.55, 2.926 Å, I = 45, (4 0 -3); 2θ 30.66, 2.916 Å, I = 44, (1 1 2); 2θ 23.45, 3.794 Å, I = 43, (4 0 -1); 2θ 45.06, 2.012 Å, I = 39, (2 2 2)

```
data_Sm3Tm4Sc5
_chemical_formula_sum 'Sm6 Tm8 Sc10'
_space_group_name_H-M_alt 'C 1 2/m 1'
_space_group_IT_number 12
_cell_length_a 15.2804
_cell_length_b 5.6748
_cell_length_c 9.3226
_cell_angle_alpha 90.00
_cell_angle_beta 120.32
_cell_angle_gamma 90.00
loop_
_space_group_symop_operation_xyz
'x,y,z'
'-x,-y,-z'
'-x,y,-z'
'x,-y,z'
'x+1/2,y+1/2,z'
'-x+1/2,-y+1/2,-z'
'-x+1/2,y+1/2,-z'
'x+1/2,-y+1/2,z'
loop_
_atom_site_label
_atom_site_type_symbol
_atom_site_fract_x
_atom_site_fract_y
_atom_site_fract_z
Sm1 Sm 0.0000 0.0000 0.0000
Sm2 Sm 0.2329 0.5000 0.2679
Tm1 Tm 0.0851 0.5000 0.4423
Tm2 Tm 0.2043 0.5000 0.8802
Sc1 Sc 0.0000 0.5000 0.0000
Sc2 Sc 0.0590 0.0000 0.6982
Sc3 Sc 0.1661 0.0000 0.3552
```


Diffraction record for SmTm12Sc2. The XRD peak list is calculated, not measured: it uses DFT lattice parameters and positions (GGA-PBE) and λ = 1.5418 Å (Cu Kα).
Intensities are scaled so that the largest is 100.

Peak list (10 most intense, 10 to 80 degrees two-theta, in order of falling intensity)
2θ 32.43, 2.761 Å, I = 100, (0 0 9); 2θ 34.07, 2.632 Å, I = 57, (2 1 3); 2θ 21.47, 4.138 Å, I = 49, (1 1 2); 2θ 39.06, 2.306 Å, I = 33, (2 1 6); 2θ 29.67, 3.011 Å, I = 27, (2 0 2); 2θ 30.77, 2.906 Å, I = 27, (2 0 3); 2θ 38.52, 2.337 Å, I = 22, (2 0 7); 2θ 41.14, 2.194 Å, I = 21, (2 2 0); 2θ 57.61, 1.600 Å, I = 20, (3 1 9); 2θ 32.24, 2.776 Å, I = 18, (2 0 4)

```
data_SmTm12Sc2
_chemical_formula_sum 'Sm2 Tm24 Sc4'
_space_group_name_H-M_alt 'P 4/n b m'
_space_group_IT_number 125
_cell_length_a 6.2057
_cell_length_b 6.2057
_cell_length_c 24.8643
_cell_angle_alpha 90.00
_cell_angle_beta 90.00
_cell_angle_gamma 90.00
loop_
_space_group_symop_operation_xyz
'x,y,z'
'-x,-y,-z'
'-y+1/2,x,z'
'y+1/2,-x,-z'
'-x+1/2,-y+1/2,z'
'x+1/2,y+1/2,-z'
'y,-x+1/2,z'
'-y,x+1/2,-z'
'x,-y+1/2,-z'
'-x,y+1/2,z'
'-y+1/2,-x+1/2,-z'
'y+1/2,x+1/2,z'
'-x+1/2,y,-z'
'x+1/2,-y,z'
'y,x,-z'
'-y,-x,z'
loop_
_atom_site_label
_atom_site_type_symbol
_atom_site_fract_x
_atom_site_fract_y
_atom_site_fract_z
Sm1 Sm 0.2500 0.7500 0.0000
Tm1 Tm 0.0667 0.5667 0.1182
Tm2 Tm 0.0800 0.5800 0.4398
Tm3 Tm 0.2500 0.2500 0.2177
Tm4 Tm 0.2500 0.2500 0.3399
Sc1 Sc 0.2500 0.7500 0.2763
```


Diffraction record for SmTm6Sc6. The XRD peak list is calculated, not measured: it uses DFT lattice parameters and positions (GGA-PBE) and λ = 1.5418 Å (Cu Kα).
Intensities are scaled so that the largest is 100.

Peak list (10 most intense, 10 to 80 degrees two-theta, in order of falling intensity)
2θ 28.06, 3.179 Å, I = 100, (1 1 0); 2θ 32.64, 2.744 Å, I = 72, (1 1 2); 2θ 29.54, 3.024 Å, I = 38, (1 0 3); 2θ 58.71, 1.573 Å, I = 33, (1 1 6); 2θ 36.59, 2.456 Å, I = 30, (2 0 2); 2θ 58.02, 1.590 Å, I = 23, (2 2 0); 2θ 49.66, 1.836 Å, I = 21, (3 0 0); 2θ 36.92, 2.435 Å, I = 21, (1 0 4); 2θ 37.66, 2.389 Å, I = 20, (1 1 3); 2θ 52.63, 1.739 Å, I = 18, (3 0 2)

```
data_SmTm6Sc6
_chemical_formula_sum 'Sm1 Tm6 Sc6'
_space_group_name_H-M_alt 'P 6/m m m'
_space_group_IT_number 191
_space_group_name_Hall '-P 6 2'
_cell_length_a 6.3590
_cell_length_b 6.3590
_cell_length_c 10.8567
_cell_angle_alpha 90.00
_cell_angle_beta 90.00
_cell_angle_gamma 120.00
loop_
_atom_site_label
_atom_site_type_symbol
_atom_site_fract_x
_atom_site_fract_y
_atom_site_fract_z
Sm1 Sm 0.0000 0.0000 0.0000
Tm1 Tm 0.0000 0.0000 0.3417
Tm2 Tm 0.3333 0.6667 0.0000
Tm3 Tm 0.3333 0.6667 0.5000
Sc1 Sc 0.0000 0.5000 0.2413
```


Diffraction record for Sm3Tm2Sc. The XRD peak list is calculated, not measured: it uses DFT lattice parameters and positions (GGA-PBE) and λ = 1.5418 Å (Cu Kα).
Intensities are scaled so that the largest is 100.

Peak list (10 most intense, 10 to 80 degrees two-theta, in order of falling intensity)
2θ 31.08, 2.878 Å, I = 100, (2 1 1); 2θ 31.18, 2.868 Å, I = 99, (1 2 -1); 2θ 36.06, 2.491 Å, I = 67, (1 3 2); 2θ 52.00, 1.758 Å, I = 47, (-1 3 4); 2θ 61.91, 1.499 Å, I = 41, (4 1 -1); 2θ 36.18, 2.483 Å, I = 34, (2 0 -2); 2θ 61.68, 1.504 Å, I = 21, (3 4 3); 2θ 61.78, 1.502 Å, I = 14, (3 0 3); 2θ 51.78, 1.766 Å, I = 12, (2 2 4); 2θ 65.04, 1.434 Å, I = 12, (-2 4 2)

```
data_Sm3Tm2Sc
_chemical_formula_sum 'Sm6 Tm4 Sc2'
_space_group_name_H-M_alt 'P -1'
_space_group_IT_number 2
_cell_length_a 6.0891
_cell_length_b 7.8671
_cell_length_c 8.6403
_cell_angle_alpha 68.38
_cell_angle_beta 89.73
_cell_angle_gamma 74.95
loop_
_space_group_symop_operation_xyz
'x,y,z'
'-x,-y,-z'
loop_
_atom_site_label
_atom_site_type_symbol
_atom_site_fract_x
_atom_site_fract_y
_atom_site_fract_z
Sm1 Sm 0.0407 0.1342 0.2866
Sm2 Sm 0.2924 0.8737 0.0424
Sm3 Sm 0.3733 0.1276 0.6259
Tm1 Tm 0.2073 0.6209 0.4604
Tm2 Tm 0.4535 0.3819 0.2047
Sc1 Sc 0.1232 0.3795 0.8754
```


Diffraction record for Sm5Tm6Sc2. The XRD peak list is calculated, not measured: it uses DFT lattice parameters and positions (GGA-PBE) and λ = 1.5418 Å (Cu Kα).
Intensities are scaled so that the largest is 100.

Peak list (10 most intense, 10 to 80 degrees two-theta, in order of falling intensity)
2θ 32.65, 2.743 Å, I = 100, (2 3 1); 2θ 29.75, 3.003 Å, I = 81, (2 0 1); 2θ 32.06, 2.792 Å, I = 50, (1 7 0); 2θ 31.78, 2.815 Å, I = 44, (1 4 1); 2θ 31.05, 2.880 Å, I = 36, (2 2 1); 2θ 27.71, 3.220 Å, I = 33, (1 6 0); 2θ 32.28, 2.773 Å, I = 32, (4 1 0); 2θ 41.08, 2.197 Å, I = 22, (1 7 1); 2θ 51.32, 1.780 Å, I = 21, (0 0 2); 2θ 33.21, 2.698 Å, I = 20, (4 2 0)

```
data_Sm5Tm6Sc2
_chemical_formula_sum 'Sm10 Tm12 Sc4'
_space_group_name_H-M_alt 'P b a m'
_space_group_IT_number 55
_cell_length_a 11.1996
_cell_length_b 20.1772
_cell_length_c 3.5606
_cell_angle_alpha 90.00
_cell_angle_beta 90.00
_cell_angle_gamma 90.00
loop_
_space_group_symop_operation_xyz
'x,y,z'
'-x,-y,-z'
'-x,-y,z'
'x,y,-z'
'x+1/2,-y+1/2,-z'
'-x+1/2,y+1/2,z'
'-x+1/2,y+1/2,-z'
'x+1/2,-y+1/2,z'
loop_
_atom_site_label
_atom_site_type_symbol
_atom_site_fract_x
_atom_site_fract_y
_atom_site_fract_z
Sm1 Sm 0.0000 0.0000 0.0000
Sm2 Sm 0.0634 0.4230 0.0000
Sm3 Sm 0.1470 0.7216 0.0000
Tm1 Tm 0.0802 0.1546 0.0000
Tm2 Tm 0.1663 0.8832 0.5000
Tm3 Tm 0.2216 0.5558 0.5000
Sc1 Sc 0.1123 0.2858 0.5000
```